# 1
# YMoO3
Computed XRD peak list, λ = 1.5418 Å (Cu Kα). Input: DFT lattice parameters and positions (PBE+U).

Atomic structure:
```
data_YMoO3
_symmetry_space_group_name_H-M 'P 63/m m c'
_symmetry_Int_Tables_number 194
_symmetry_space_group_name_Hall '-P 6c 2c'
_cell_length_a 3.6323
_cell_length_b 3.6323
_cell_length_c 12.6299
_cell_angle_alpha 90.00
_cell_angle_beta 90.00
_cell_angle_gamma 120.00
loop_
_atom_site_label
_atom_site_type_symbol
_atom_site_fract_x
_atom_site_fract_y
_atom_site_fract_z
_atom_site_occupancy
Y1 Y 0.0000 0.0000 0.0000 1
Mo1 Mo 0.3333 0.6667 0.2500 1
O1 O 0.0000 0.0000 0.2500 1
O2 O 0.3333 0.6667 0.0803 1
```

Most intense lines, 2θ from 10° to 90°, low angle first:
index	d [Å]	intensity
0 0 4	3.157	64.6
1 0 1	3.052	95.9
1 0 2	2.816	100.0
1 0 3	2.520	17.9
1 0 4	2.228	16.4
1 0 5	1.970	26.9
1 1 0	1.816	55.9
1 0 6	1.749	35.6
1 1 4	1.574	47.5
2 0 2	1.526	16.3
1 1 8	1.191	17.4
2 1 2	1.168	14.1



# 2
# YMo3O8
Computed XRD peak list, λ = 1.5418 Å (Cu Kα). Input: DFT lattice parameters and positions (PBE+U).

Atomic structure:
```
data_YMo3O8
_symmetry_space_group_name_H-M 'C 1 m 1'
_symmetry_Int_Tables_number 8
_cell_length_a 9.9897
_cell_length_b 5.8601
_cell_length_c 5.2624
_cell_angle_alpha 90.00
_cell_angle_beta 90.33
_cell_angle_gamma 90.00
loop_
_symmetry_equiv_pos_as_xyz
'x,y,z'
'x,-y,z'
'x+1/2,y+1/2,z'
'x+1/2,-y+1/2,z'
loop_
_atom_site_label
_atom_site_type_symbol
_atom_site_fract_x
_atom_site_fract_y
_atom_site_fract_z
_atom_site_occupancy
Y1 Y 0.0000 0.0000 0.0000 1
Mo1 Mo 0.2528 0.2319 0.4779 1
Mo2 Mo 0.4744 0.0000 0.4825 1
O1 O 0.0771 0.2612 0.2830 1
O2 O 0.1606 0.5000 0.6713 1
O3 O 0.1639 0.0000 0.6981 1
O4 O 0.3139 0.0000 0.2112 1
O5 O 0.3231 0.5000 0.2817 1
O6 O 0.4086 0.2447 0.7145 1
```

Most intense lines, 2θ from 10° to 90°, low angle first:
index	d [Å]	intensity
0 0 1	5.262	92.8
1 1 -1	3.645	100.0
2 0 -1	3.633	26.8
2 0 1	3.612	24.7
0 0 2	2.631	20.5
0 2 1	2.560	18.3
2 2 0	2.528	66.8
4 0 0	2.497	23.8
2 2 -1	2.280	34.0
2 2 -2	1.825	41.2
2 2 2	1.820	28.2
4 0 2	1.806	18.5



# 3
# YMo3O8
Computed XRD peak list, λ = 1.5418 Å (Cu Kα). Input: DFT lattice parameters and positions (PBE+U).

Atomic structure:
```
data_YMo3O8
_symmetry_space_group_name_H-M 'C 1 2/m 1'
_symmetry_Int_Tables_number 12
_cell_length_a 10.7780
_cell_length_b 6.2921
_cell_length_c 4.7602
_cell_angle_alpha 90.00
_cell_angle_beta 90.23
_cell_angle_gamma 90.00
loop_
_symmetry_equiv_pos_as_xyz
'x,y,z'
'-x,-y,-z'
'-x,y,-z'
'x,-y,z'
'x+1/2,y+1/2,z'
'-x+1/2,-y+1/2,-z'
'-x+1/2,y+1/2,-z'
'x+1/2,-y+1/2,z'
loop_
_atom_site_label
_atom_site_type_symbol
_atom_site_fract_x
_atom_site_fract_y
_atom_site_fract_z
_atom_site_occupancy
Y1 Y 0.0000 0.0000 0.0000 1
Mo1 Mo 0.0000 0.5000 0.5000 1
Mo2 Mo 0.2500 0.2500 0.5000 1
O1 O 0.0849 0.2722 0.7235 1
O2 O 0.1597 0.5000 0.2848 1
O3 O 0.1734 0.0000 0.2846 1
```

Most intense lines, 2θ from 10° to 90°, low angle first:
index	d [Å]	intensity
0 0 1	4.760	59.0
1 1 -1	3.580	100.0
2 0 1	3.561	20.1
2 2 0	2.717	53.6
4 0 0	2.694	25.5
0 2 1	2.625	16.3
3 1 -1	2.614	16.9
3 1 1	2.605	16.4
2 2 1	2.358	33.8
2 2 -2	1.792	23.4
4 0 -2	1.788	49.5
6 2 0	1.560	22.2



# 4
# Y6MoO12
Computed XRD peak list, λ = 1.5418 Å (Cu Kα). Input: DFT lattice parameters and positions (PBE+U).

Atomic structure:
```
data_Y6MoO12
_symmetry_space_group_name_H-M 'P -1'
_symmetry_Int_Tables_number 2
_cell_length_a 6.4241
_cell_length_b 6.5105
_cell_length_c 9.7137
_cell_angle_alpha 74.48
_cell_angle_beta 80.29
_cell_angle_gamma 64.47
loop_
_symmetry_equiv_pos_as_xyz
'x,y,z'
'-x,-y,-z'
loop_
_atom_site_label
_atom_site_type_symbol
_atom_site_fract_x
_atom_site_fract_y
_atom_site_fract_z
_atom_site_occupancy
Y1 Y 0.0650 0.2975 0.1646 1
Y2 Y 0.2675 0.1219 0.7667 1
Y3 Y 0.2965 0.8004 0.5082 1
Mo1 Mo 0.0000 0.5000 0.5000 1
O1 O 0.0561 0.1771 0.5266 1
O2 O 0.0655 0.5321 0.2991 1
O3 O 0.1663 0.2907 0.9441 1
O4 O 0.2170 0.8130 0.7467 1
O5 O 0.3229 0.4161 0.5356 1
O6 O 0.3629 0.9989 0.2906 1
```

Most intense lines, 2θ from 10° to 90°, low angle first:
index	d [Å]	intensity
1 0 0	5.786	64.1
1 1 0	5.285	57.1
1 0 1	5.060	23.7
0 1 2	4.086	38.4
2 1 0	3.148	65.8
1 -1 1	3.127	100.0
0 0 3	3.114	57.7
1 2 2	2.999	66.7
-1 1 2	2.900	41.3
2 1 3	2.455	26.4
0 3 1	1.958	25.3
3 0 1	1.912	36.8



# 5
# Y2Mo4O15
Computed XRD peak list, λ = 1.5418 Å (Cu Kα). Input: DFT lattice parameters and positions (PBE+U).

Atomic structure:
```
data_Y2Mo4O15
_symmetry_space_group_name_H-M 'P 1 21/c 1'
_symmetry_Int_Tables_number 14
_cell_length_a 6.9306
_cell_length_b 9.7527
_cell_length_c 10.7322
_cell_angle_alpha 90.00
_cell_angle_beta 105.42
_cell_angle_gamma 90.00
loop_
_symmetry_equiv_pos_as_xyz
'x,y,z'
'-x,-y,-z'
'-x,y+1/2,-z+1/2'
'x,-y+1/2,z+1/2'
loop_
_atom_site_label
_atom_site_type_symbol
_atom_site_fract_x
_atom_site_fract_y
_atom_site_fract_z
_atom_site_occupancy
Y1 Y 0.2113 0.0232 0.2766 1
Mo1 Mo 0.0817 0.7436 0.0111 1
Mo2 Mo 0.3795 0.0953 0.8441 1
O1 O 0.0230 0.1269 0.3967 1
O2 O 0.1166 0.1676 0.1010 1
O3 O 0.1217 0.0563 0.8164 1
O4 O 0.2214 0.6516 0.9196 1
O5 O 0.2442 0.6346 0.6178 1
O6 O 0.3876 0.2232 0.3528 1
O7 O 0.4473 0.0280 0.7076 1
O8 O 0.5000 0.0000 0.0000 1
```

Most intense lines, 2θ from 10° to 90°, low angle first:
index	d [Å]	intensity
0 1 2	4.570	33.2
1 1 1	4.474	31.0
1 1 -2	4.268	52.0
1 2 0	3.939	30.3
1 0 2	3.648	45.5
0 2 2	3.548	100.0
1 2 1	3.503	29.0
1 2 -2	3.401	50.1
2 0 -2	3.224	39.0
2 1 0	3.160	30.0
1 3 0	2.923	30.5
1 0 -4	2.662	30.0